[1]
For Y3Mg2WS8, a crystal structure in the Materials Project, relaxed with GGA-PBE gives the computed powder X-ray diffraction pattern in this record (Cu Kα).
No peak broadening, texture or thermal motion is included.

Crystal structure
```
data_Y3Mg2WS8
_space_group_name_H-M_alt 'R -3 m'
_space_group_IT_number 166
_space_group_name_Hall '-R 3 2"'
_cell_length_a 7.8387
_cell_length_b 7.8387
_cell_length_c 18.6543
_cell_angle_alpha 90.00
_cell_angle_beta 90.00
_cell_angle_gamma 120.00
loop_
_atom_site_label
_atom_site_fract_x
_atom_site_fract_y
_atom_site_fract_z
_atom_site_occupancy
Y1 0.0000 0.5000 0.0000 1
Mg1 0.0000 0.0000 0.1253 1
W1 0.0000 0.0000 0.5000 1
S1 0.0000 0.0000 0.2549 1
S2 0.0236 0.5118 0.2446 1
```

Most intense lines, 5° ≤ 2θ ≤ 70°, by angle:
(1 0 1), 2θ 13.88, I = 1000
(1 1 0), 2θ 22.69, I = 99
(1 1 3), 2θ 26.89, I = 549
(0 1 5), 2θ 27.28, I = 292
(0 2 4), 2θ 32.63, I = 834
(2 1 1), 2θ 35.31, I = 124
(0 3 3), 2θ 42.51, I = 165
(1 2 5), 2θ 42.77, I = 239
(2 2 0), 2θ 46.33, I = 392
(2 0 8), 2θ 47.30, I = 367
(4 0 4), 2θ 57.81, I = 144
(0 4 8), 2θ 68.36, I = 114


[2]
For Y2MgS4, a crystal structure in the Materials Project, relaxed with GGA-PBE gives the computed powder X-ray diffraction pattern in this record (Cu Kα).
No peak broadening, texture or thermal motion is included.

Crystal structure
```
data_Y2MgS4
_space_group_name_H-M_alt 'C m c 21'
_space_group_IT_number 36
_space_group_name_Hall 'C 2c -2'
_cell_length_a 3.7926
_cell_length_b 12.5065
_cell_length_c 12.8960
_cell_angle_alpha 90.00
_cell_angle_beta 90.00
_cell_angle_gamma 90.00
loop_
_atom_site_label
_atom_site_fract_x
_atom_site_fract_y
_atom_site_fract_z
_atom_site_occupancy
Y1 0.0000 0.1182 0.0000 1
Y2 0.0000 0.3625 0.2020 1
Mg1 0.0000 0.3739 0.8380 1
S1 0.0000 0.0111 0.7878 1
S2 0.0000 0.2621 0.3887 1
S3 0.0000 0.2894 0.6497 1
S4 0.0000 0.4631 0.0158 1
```

Most intense lines, 5° ≤ 2θ ≤ 70°, by angle:
(0 2 1), 2θ 15.75, I = 620
(0 2 3), 2θ 25.14, I = 884
(1 1 1), 2θ 25.50, I = 317
(1 1 2), 2θ 28.22, I = 300
(0 2 4), 2θ 31.21, I = 336
(1 3 1), 2θ 32.67, I = 864
(1 3 2), 2θ 34.88, I = 1000
(1 1 5), 2θ 43.02, I = 510
(1 5 2), 2θ 45.67, I = 294
(2 0 0), 2θ 47.95, I = 478
(0 6 3), 2θ 48.52, I = 522
(2 2 3), 2θ 54.92, I = 200


[3]
For Y4MgS7, a crystal structure in the Materials Project, relaxed with GGA-PBE gives the computed powder X-ray diffraction pattern in this record (Cu Kα).
No peak broadening, texture or thermal motion is included.

Crystal structure
```
data_Y4MgS7
_space_group_name_H-M_alt 'C 1 m 1'
_space_group_IT_number 8
_space_group_name_Hall 'C -2y'
_cell_length_a 12.6171
_cell_length_b 3.8108
_cell_length_c 11.4993
_cell_angle_alpha 90.00
_cell_angle_beta 104.89
_cell_angle_gamma 90.00
loop_
_atom_site_label
_atom_site_fract_x
_atom_site_fract_y
_atom_site_fract_z
_atom_site_occupancy
Y1 0.0000 0.0000 0.0000 1
Y2 0.0788 0.5000 0.3636 1
Y3 0.1926 0.5000 0.8009 1
Y4 0.3857 0.0000 0.5974 1
Mg1 0.3068 0.5000 0.2173 1
S1 0.0326 0.0000 0.7441 1
S2 0.1572 0.5000 0.0196 1
S3 0.1978 0.0000 0.2935 1
S4 0.2301 0.5000 0.5805 1
S5 0.3536 0.0000 0.8464 1
S6 0.4253 0.0000 0.1485 1
S7 0.4487 0.5000 0.4362 1
```

Most intense lines, 5° ≤ 2θ ≤ 70°, by angle:
(2 0 2), 2θ 24.29, I = 1000
(2 0 -3), 2θ 24.71, I = 890
(4 0 -1), 2θ 28.29, I = 561
(3 1 -1), 2θ 31.78, I = 941
(3 1 0), 2θ 32.20, I = 939
(3 1 -2), 2θ 33.41, I = 835
(3 1 1), 2θ 34.61, I = 837
(3 1 -3), 2θ 36.85, I = 347
(1 1 4), 2θ 42.43, I = 569
(6 0 1), 2θ 47.51, I = 343
(0 2 0), 2θ 47.72, I = 769
(6 0 -4), 2θ 48.21, I = 392


[4]
For Y2MgS4, a crystal structure in the Materials Project, relaxed with GGA-PBE gives the computed powder X-ray diffraction pattern in this record (Cu Kα).
No peak broadening, texture or thermal motion is included.

Crystal structure
```
data_Y2MgS4
_space_group_name_H-M_alt 'P c a 21'
_space_group_IT_number 29
_space_group_name_Hall 'P 2c -2ac'
_cell_length_a 12.6776
_cell_length_b 7.5795
_cell_length_c 12.8161
_cell_angle_alpha 90.00
_cell_angle_beta 90.00
_cell_angle_gamma 90.00
loop_
_atom_site_label
_atom_site_fract_x
_atom_site_fract_y
_atom_site_fract_z
_atom_site_occupancy
Y1 0.1092 0.1181 0.0000 1
Y2 0.1276 0.6189 0.3587 1
Y3 0.1332 0.3717 0.6934 1
Y4 0.1336 0.8714 0.6942 1
Mg1 0.1100 0.6190 0.9942 1
Mg2 0.1259 0.1220 0.3641 1
S1 0.0129 0.1224 0.8079 1
S2 0.0207 0.6277 0.8160 1
S3 0.0331 0.6231 0.5547 1
S4 0.0410 0.1278 0.5482 1
S5 0.2125 0.1210 0.1833 1
S6 0.2130 0.6206 0.1657 1
S7 0.2309 0.3695 0.9083 1
S8 0.2326 0.8725 0.9087 1
```

Most intense lines, 5° ≤ 2θ ≤ 70°, by angle:
(2 0 1), 2θ 15.60, I = 202
(2 1 1), 2θ 19.51, I = 271
(2 0 3), 2θ 25.14, I = 961
(1 2 1), 2θ 25.50, I = 231
(4 0 0), 2θ 28.21, I = 293
(2 0 4), 2θ 31.28, I = 343
(3 2 1), 2θ 32.49, I = 1000
(3 2 2), 2θ 34.74, I = 832
(1 2 5), 2θ 43.20, I = 471
(5 2 2), 2θ 45.30, I = 322
(0 4 0), 2θ 48.01, I = 884
(2 4 3), 2θ 54.95, I = 206


[5]
For Y2MgS4, a crystal structure in the Materials Project, relaxed with GGA-PBE gives the computed powder X-ray diffraction pattern in this record (Cu Kα).
No peak broadening, texture or thermal motion is included.

Crystal structure
```
data_Y2MgS4
_space_group_name_H-M_alt 'P n m a'
_space_group_IT_number 62
_space_group_name_Hall '-P 2ac 2n'
_cell_length_a 13.5757
_cell_length_b 7.9147
_cell_length_c 6.5412
_cell_angle_alpha 90.00
_cell_angle_beta 90.00
_cell_angle_gamma 90.00
loop_
_atom_site_label
_atom_site_fract_x
_atom_site_fract_y
_atom_site_fract_z
_atom_site_occupancy
Y1 0.0000 0.0000 0.0000 1
Y2 0.2326 0.2500 0.5001 1
Mg1 0.0933 0.7500 0.4228 1
S1 0.0704 0.2500 0.7471 1
S2 0.0916 0.7500 0.7902 1
S3 0.1685 0.5094 0.2427 1
```

Most intense lines, 5° ≤ 2θ ≤ 70°, by angle:
(1 0 1), 2θ 15.03, I = 448
(1 1 1), 2θ 18.77, I = 760
(3 0 1), 2θ 23.91, I = 436
(2 2 0), 2θ 26.06, I = 234
(3 1 1), 2θ 26.47, I = 464
(1 2 1), 2θ 27.14, I = 579
(2 2 1), 2θ 29.48, I = 371
(4 0 1), 2θ 29.65, I = 207
(2 2 2), 2θ 38.08, I = 1000
(4 0 2), 2θ 38.22, I = 410
(0 4 0), 2θ 45.86, I = 280
(6 2 0), 2θ 46.22, I = 556


[6]
For Y2MgS4, a crystal structure in the Materials Project, relaxed with GGA-PBE gives the computed powder X-ray diffraction pattern in this record (Cu Kα).
No peak broadening, texture or thermal motion is included.

Crystal structure
```
data_Y2MgS4
_space_group_name_H-M_alt 'P n m a'
_space_group_IT_number 62
_space_group_name_Hall '-P 2ac 2n'
_cell_length_a 12.6284
_cell_length_b 3.8541
_cell_length_c 13.4852
_cell_angle_alpha 90.00
_cell_angle_beta 90.00
_cell_angle_gamma 90.00
loop_
_atom_site_label
_atom_site_fract_x
_atom_site_fract_y
_atom_site_fract_z
_atom_site_occupancy
Y1 0.1176 0.2500 0.0754 1
Y2 0.1387 0.2500 0.7049 1
Mg1 0.1111 0.7500 0.4522 1
S1 0.0088 0.7500 0.6150 1
S2 0.0275 0.2500 0.8833 1
S3 0.2249 0.2500 0.2486 1
S4 0.2373 0.2500 0.5158 1
```

Most intense lines, 5° ≤ 2θ ≤ 70°, by angle:
(1 0 2), 2θ 14.89, I = 875
(2 0 3), 2θ 24.31, I = 857
(2 1 0), 2θ 27.11, I = 1000
(2 0 4), 2θ 30.05, I = 431
(3 1 1), 2θ 32.18, I = 590
(3 1 2), 2θ 34.23, I = 825
(3 1 3), 2θ 37.43, I = 309
(1 1 5), 2θ 41.49, I = 408
(4 1 3), 2θ 42.11, I = 444
(5 1 2), 2θ 44.97, I = 307
(0 2 0), 2θ 47.16, I = 371
(1 1 6), 2θ 47.37, I = 326


[7]
For Y2MgS4, a crystal structure in the Materials Project, relaxed with GGA-PBE gives the computed powder X-ray diffraction pattern in this record (Cu Kα).
No peak broadening, texture or thermal motion is included.

Crystal structure
```
data_Y2MgS4
_space_group_name_H-M_alt 'P n m a'
_space_group_IT_number 62
_space_group_name_Hall '-P 2ac 2n'
_cell_length_a 7.9626
_cell_length_b 7.2988
_cell_length_c 11.4684
_cell_angle_alpha 90.00
_cell_angle_beta 90.00
_cell_angle_gamma 90.00
loop_
_atom_site_label
_atom_site_fract_x
_atom_site_fract_y
_atom_site_fract_z
_atom_site_occupancy
Y1 0.0407 0.2500 0.1910 1
Y2 0.0718 0.7500 0.4797 1
Mg1 0.1808 0.7500 0.0925 1
S1 0.1044 0.2500 0.9564 1
S2 0.1297 0.0020 0.6575 1
S3 0.2210 0.2500 0.3903 1
```

Most intense lines, 5° ≤ 2θ ≤ 70°, by angle:
(1 0 1), 2θ 13.54, I = 342
(0 1 1), 2θ 14.38, I = 758
(0 2 0), 2θ 24.39, I = 928
(1 0 3), 2θ 25.85, I = 289
(0 1 3), 2θ 26.32, I = 319
(2 1 2), 2θ 29.94, I = 320
(2 2 0), 2θ 33.26, I = 346
(2 2 1), 2θ 34.24, I = 466
(1 2 3), 2θ 35.84, I = 1000
(3 1 1), 2θ 36.88, I = 794
(0 4 0), 2θ 49.99, I = 381
(3 3 1), 2θ 51.58, I = 290


[8]
For Y2MgS4, a crystal structure in the Materials Project, relaxed with GGA-PBE gives the computed powder X-ray diffraction pattern in this record (Cu Kα).
No peak broadening, texture or thermal motion is included.

Crystal structure
```
data_Y2MgS4
_space_group_name_H-M_alt 'P -1'
_space_group_IT_number 2
_space_group_name_Hall '-P 1'
_cell_length_a 7.2476
_cell_length_b 8.3945
_cell_length_c 12.8779
_cell_angle_alpha 99.61
_cell_angle_beta 95.70
_cell_angle_gamma 90.02
loop_
_atom_site_label
_atom_site_fract_x
_atom_site_fract_y
_atom_site_fract_z
_atom_site_occupancy
Y1 0.1321 0.4451 0.3051 1
Y2 0.1339 0.9576 0.3089 1
Y3 0.2578 0.1278 0.0005 1
Y4 0.3650 0.2997 0.6929 1
Mg1 0.2509 0.6223 0.9960 1
Mg2 0.3659 0.7996 0.7002 1
S1 0.0961 0.4070 0.1018 1
S2 0.1058 0.8970 0.1047 1
S3 0.1948 0.5436 0.6280 1
S4 0.1966 0.0207 0.6287 1
S5 0.3082 0.7183 0.3758 1
S6 0.3313 0.2192 0.3731 1
S7 0.3921 0.8442 0.8930 1
S8 0.4062 0.3546 0.8967 1
```

Most intense lines, 5° ≤ 2θ ≤ 70°, by angle:
(0 0 3), 2θ 21.10, I = 1000
(1 2 -1), 2θ 24.64, I = 482
(1 2 0), 2θ 24.98, I = 877
(-1 2 1), 2θ 26.25, I = 560
(2 0 1), 2θ 26.38, I = 270
(1 -2 3), 2θ 31.00, I = 417
(1 2 2), 2θ 31.13, I = 212
(2 0 4), 2θ 39.80, I = 208
(0 4 -1), 2θ 43.11, I = 367
(3 -2 0), 2θ 43.21, I = 704
(2 0 -6), 2θ 47.78, I = 207
(1 -2 6), 2θ 47.86, I = 206


[9]
For YMgS3, a crystal structure in the Materials Project, relaxed with GGA-PBE gives the computed powder X-ray diffraction pattern in this record (Cu Kα).
No peak broadening, texture or thermal motion is included.

Crystal structure
```
data_YMgS3
_space_group_name_H-M_alt 'C 1 2/m 1'
_space_group_IT_number 12
_space_group_name_Hall '-C 2y'
_cell_length_a 7.2536
_cell_length_b 12.0009
_cell_length_c 6.5845
_cell_angle_alpha 90.00
_cell_angle_beta 116.85
_cell_angle_gamma 90.00
loop_
_atom_site_label
_atom_site_fract_x
_atom_site_fract_y
_atom_site_fract_z
_atom_site_occupancy
Y1 0.2022 0.0000 0.2984 1
Mg1 0.0000 0.3377 0.0000 1
S1 0.0506 0.5000 0.2640 1
S2 0.0551 0.1657 0.8082 1
```

Most intense lines, 5° ≤ 2θ ≤ 70°, by angle:
(0 2 0), 2θ 14.76, I = 730
(1 1 -1), 2θ 16.83, I = 488
(0 2 1), 2θ 21.16, I = 295
(2 0 -1), 2θ 24.70, I = 294
(1 1 1), 2θ 25.75, I = 282
(1 3 -1), 2θ 26.98, I = 450
(1 1 -2), 2θ 28.11, I = 336
(2 2 -1), 2θ 28.90, I = 349
(0 0 2), 2θ 30.44, I = 372
(1 3 1), 2θ 33.42, I = 276
(0 2 2), 2θ 33.98, I = 276
(0 6 0), 2θ 45.38, I = 1000


[10]
For Y2MgS4, a crystal structure in the Materials Project, relaxed with GGA-PBE gives the computed powder X-ray diffraction pattern in this record (Cu Kα).
No peak broadening, texture or thermal motion is included.

Crystal structure
```
data_Y2MgS4
_space_group_name_H-M_alt 'I -4 2 d'
_space_group_IT_number 122
_space_group_name_Hall 'I -4 2bw'
_cell_length_a 8.2057
_cell_length_b 8.2057
_cell_length_c 8.5346
_cell_angle_alpha 90.00
_cell_angle_beta 90.00
_cell_angle_gamma 90.00
loop_
_atom_site_label
_atom_site_fract_x
_atom_site_fract_y
_atom_site_fract_z
_atom_site_occupancy
Y1 0.1326 0.2500 0.1250 1
Mg1 0.0000 0.0000 0.5000 1
S1 0.0663 0.1959 0.8122 1
```

Most intense lines, 5° ≤ 2θ ≤ 70°, by angle:
(1 0 1), 2θ 14.98, I = 325
(2 0 0), 2θ 21.66, I = 292
(1 1 2), 2θ 25.92, I = 542
(2 1 1), 2θ 26.44, I = 571
(1 0 3), 2θ 33.33, I = 605
(3 0 1), 2θ 34.43, I = 609
(3 1 0), 2θ 34.57, I = 1000
(2 1 3), 2θ 40.10, I = 769
(3 2 1), 2θ 41.05, I = 460
(4 0 2), 2θ 49.29, I = 260
(3 2 3), 2θ 51.42, I = 332
(3 1 4), 2θ 55.78, I = 227


Question: Which formula does entry 5 have?
Answer: Y2MgS4